Computed powder XRD pattern of LuWClO4 for copper Kα, from DFT lattice parameters and positions (GGA+U).
Lines closer than 0.1° are merged.

Structure:
```
data_LuWClO4
_cell_length_a 5.947
_cell_length_b 6.598
_cell_length_c 6.938
_cell_angle_alpha 73.18
_cell_angle_beta 76.64
_cell_angle_gamma 70.39
_symmetry_space_group_name_H-M 'P -1'
_symmetry_Int_Tables_number 2
loop_
_symmetry_equiv_pos_as_xyz
'x,y,z'
'-x,-y,-z'
loop_
_atom_site_label
_atom_site_fract_x
_atom_site_fract_y
_atom_site_fract_z
Lu1 0.246 0.198 0.366
W1 0.381 0.358 0.762
Cl1 0.013 0.960 0.275
O1 0.085 0.527 0.705
O2 0.361 0.255 0.033
O3 0.417 0.470 0.319
O4 0.466 0.125 0.634
```

Top 6 peaks for 10 to 80 degrees two-theta, sorted by position:
18.33 deg, rel. 379
24.73 deg, rel. 1000
26.09 deg, rel. 604
27.76 deg, rel. 369
28.11 deg, rel. 447
29.51 deg, rel. 491